# CdPt3
Computed X-ray powder pattern, λ = 1.5418 Å (Cu Kα). Input: a DFT-relaxed cell (GGA-PBE, the Materials Project).
Peak positions follow from Bragg's law for the DFT cell and can differ from measured ones.

Crystal structure
Lattice parameters (Å, degrees): 9.330 9.330 9.330 17.80 17.80 17.80
Atoms (fractional coordinates):
Cd (0.000, 0.000, 0.000)
Pt (0.249, 0.249, 0.249)
Pt (0.500, 0.500, 0.500)
Pt (0.751, 0.751, 0.751)

Principal peaks in the range 2θ = 10–90°, sorted by position:
2theta  I_rel
38.3  100
39.3  31
44.8  64
64.5  22
65.9  20
77.6  13
78.2  25
79.5  12

# ThGa
Computed X-ray powder pattern, λ = 1.5418 Å (Cu Kα). Input: a DFT-relaxed cell (GGA-PBE, the Materials Project).
Peak positions follow from Bragg's law for the DFT cell and can differ from measured ones.

Crystal structure
Lattice parameters (Å, degrees): 16.462 4.134 6.072 90.00 90.00 90.00
Atoms (fractional coordinates):
Th (0.036, 0.250, 0.250)
Th (0.214, 0.750, 0.013)
Th (0.286, 0.250, 0.513)
Th (0.464, 0.750, 0.750)
Th (0.536, 0.250, 0.250)
Th (0.714, 0.750, 0.487)
Th (0.786, 0.250, 0.987)
Th (0.964, 0.750, 0.750)
Ga (0.106, 0.250, 0.758)
Ga (0.143, 0.750, 0.505)
Ga (0.357, 0.250, 0.005)
Ga (0.394, 0.750, 0.258)
Ga (0.606, 0.250, 0.742)
Ga (0.643, 0.750, 0.995)
Ga (0.857, 0.250, 0.495)
Ga (0.894, 0.750, 0.242)

Principal peaks in the range 2θ = 10–90°, sorted by position:
2theta  I_rel
26.6  39
28.3  55
30.7  100
30.8  74
31.4  100
38.4  72
43.8  38
54.9  43

# Na3TaZnSi2SO12
Computed X-ray powder pattern, λ = 1.5418 Å (Cu Kα). Input: a DFT-relaxed cell (GGA-PBE, the Materials Project).
Peak positions follow from Bragg's law for the DFT cell and can differ from measured ones.

Crystal structure
Lattice parameters (Å, degrees): 9.057 9.057 9.227 120.60 120.60 60.81
Atoms (fractional coordinates):
Na (0.041, 0.959, 0.500)
Na (0.303, 0.837, 0.235)
Na (0.558, 0.739, 0.020)
Na (0.739, 0.558, 0.520)
Na (0.837, 0.303, 0.735)
Na (0.959, 0.041, 0.000)
Ta (0.465, 0.973, 0.701)
Ta (0.973, 0.465, 0.201)
Zn (0.140, 0.688, 0.814)
Zn (0.688, 0.140, 0.314)
Si (0.077, 0.283, 0.515)
Si (0.283, 0.077, 0.015)
Si (0.778, 0.874, 0.520)
Si (0.874, 0.778, 0.020)
S (0.368, 0.578, 0.519)
S (0.578, 0.368, 0.019)
O (0.042, 0.317, 0.333)
O (0.056, 0.747, 0.005)
O (0.093, 0.252, 0.031)
O (0.115, 0.455, 0.685)
O (0.197, 0.549, 0.358)
O (0.252, 0.093, 0.531)
O (0.260, 0.899, 0.994)
O (0.317, 0.042, 0.833)
O (0.352, 0.613, 0.683)
O (0.368, 0.750, 0.521)
O (0.437, 0.530, 0.989)
O (0.455, 0.115, 0.185)
O (0.530, 0.437, 0.489)
O (0.549, 0.197, 0.858)
O (0.599, 0.874, 0.533)
O (0.613, 0.352, 0.183)
O (0.681, 0.822, 0.842)
O (0.747, 0.056, 0.505)
O (0.750, 0.368, 0.021)
O (0.822, 0.681, 0.342)
O (0.859, 0.952, 0.197)
O (0.874, 0.599, 0.033)
O (0.899, 0.260, 0.494)
O (0.952, 0.859, 0.697)

Principal peaks in the range 2θ = 10–90°, sorted by position:
2theta  I_rel
13.6  50
19.2  41
19.6  100
27.4  27
30.7  29
30.9  36
31.5  39
34.0  42

# SiO2
Computed X-ray powder pattern, λ = 1.5418 Å (Cu Kα). Input: a DFT-relaxed cell (GGA-PBE, the Materials Project).
Peak positions follow from Bragg's law for the DFT cell and can differ from measured ones.

Crystal structure
Lattice parameters (Å, degrees): 11.772 11.772 4.375 90.00 90.00 90.00
Atoms (fractional coordinates):
Si (0.012, 0.334, 0.234)
Si (0.013, 0.171, 0.788)
Si (0.166, 0.012, 0.234)
Si (0.171, 0.487, 0.788)
Si (0.329, 0.013, 0.788)
Si (0.334, 0.488, 0.234)
Si (0.487, 0.329, 0.788)
Si (0.488, 0.166, 0.234)
Si (0.512, 0.834, 0.766)
Si (0.513, 0.671, 0.212)
Si (0.666, 0.512, 0.766)
Si (0.671, 0.987, 0.212)
Si (0.829, 0.513, 0.212)
Si (0.834, 0.988, 0.766)
Si (0.987, 0.829, 0.212)
Si (0.988, 0.666, 0.766)
O (0.062, 0.255, 0.515)
O (0.062, 0.749, 0.987)
O (0.070, 0.925, 0.364)
O (0.075, 0.570, 0.636)
O (0.108, 0.111, 0.014)
O (0.111, 0.392, 0.014)
O (0.245, 0.062, 0.515)
O (0.249, 0.938, 0.013)
O (0.251, 0.562, 0.013)
O (0.255, 0.438, 0.515)
O (0.389, 0.108, 0.014)
O (0.392, 0.389, 0.014)
O (0.425, 0.930, 0.636)
O (0.430, 0.575, 0.364)
O (0.438, 0.245, 0.515)
O (0.438, 0.751, 0.987)
O (0.562, 0.249, 0.013)
O (0.562, 0.755, 0.485)
O (0.570, 0.425, 0.636)
O (0.575, 0.070, 0.364)
O (0.608, 0.611, 0.986)
O (0.611, 0.892, 0.986)
O (0.745, 0.562, 0.485)
O (0.749, 0.438, 0.987)
O (0.751, 0.062, 0.987)
O (0.755, 0.938, 0.485)
O (0.889, 0.608, 0.986)
O (0.892, 0.889, 0.986)
O (0.925, 0.430, 0.364)
O (0.930, 0.075, 0.636)
O (0.938, 0.251, 0.013)
O (0.938, 0.745, 0.485)

Principal peaks in the range 2θ = 10–90°, sorted by position:
2theta  I_rel
10.6  14
15.1  55
21.3  100
26.5  98
34.3  44
38.4  49
54.1  15
63.7  23